# 1
# Fe4AgPd
Simulated X-ray diffraction stick pattern, Cu Kα. Input: a cell relaxed with GGA-PBE.

Crystal structure
```
Fe4AgPd
1.0
0.0000 3.4339 3.4339
3.4339 0.0000 3.4339
3.4339 3.4339 0.0000
Fe Ag Pd
4 1 1
Direct
0.1249 0.1249 0.1249
0.1249 0.1249 0.6254
0.1249 0.6254 0.1249
0.6254 0.1249 0.1249
0.7500 0.7500 0.7500
0.5000 0.5000 0.5000
```

Principal peaks in the range 2θ = 10–80°, low angle first:
Position (°2θ), Rel. int.
37.02, 528
43.71, 1000
45.77, 212
66.72, 177
71.36, 285
78.84, 220



# 2
# TiNb2O7
Simulated X-ray diffraction stick pattern, Cu Kα. Input: a cell relaxed with GGA-PBE.

Crystal structure
```
TiNb2O7
1.0
10.4151 -1.9075 0.0000
10.4151 1.9075 0.0000
-6.1355 0.0000 10.5433
Ti Nb O
3 6 21
Direct
0.0000 0.0000 0.0000
0.0791 0.0791 0.6458
0.2908 0.2908 0.3638
0.1106 0.1106 0.3648
0.1815 0.1815 0.0051
0.7072 0.7072 0.6425
0.8219 0.8219 0.0097
0.8921 0.8921 0.6346
0.9252 0.9252 0.3757
0.0258 0.0258 0.4216
0.0491 0.0491 0.1963
0.0983 0.0983 0.0166
0.1257 0.1257 0.8147
0.1732 0.1732 0.6032
0.2072 0.2072 0.3805
0.2490 0.2490 0.1975
0.2937 0.2937 0.0040
0.3707 0.3707 0.5820
0.4028 0.4028 0.3846
0.4991 0.4991 0.9994
0.5980 0.5980 0.6303
0.6262 0.6262 0.4234
0.7103 0.7103 0.0076
0.7540 0.7540 0.8152
0.7900 0.7900 0.6208
0.8259 0.8259 0.4042
0.8780 0.8780 0.1984
0.9028 0.9028 0.9926
0.9491 0.9491 0.8047
0.9761 0.9761 0.5885
```

Principal peaks in the range 2θ = 10–80°, low angle first:
Position (°2θ), Rel. int.
17.09, 338
23.84, 971
25.34, 1000
25.74, 808
32.05, 336
47.68, 389



# 3
# La4Ag3Hg
Simulated X-ray diffraction stick pattern, Cu Kα. Input: a cell relaxed with GGA-PBE.

Crystal structure
```
La4Ag3Hg
1.0
3.8515 0.0000 0.0000
0.0000 5.4428 0.0000
0.0000 0.0000 10.8671
La Ag Hg
4 3 1
Direct
0.0000 0.0000 0.0000
0.0000 0.0000 0.5000
0.0000 0.5000 0.2460
0.0000 0.5000 0.7540
0.5000 0.0000 0.2493
0.5000 0.0000 0.7507
0.5000 0.5000 0.0000
0.5000 0.5000 0.5000
```

Principal peaks in the range 2θ = 10–80°, low angle first:
Position (°2θ), Rel. int.
32.92, 1000
47.25, 180
58.76, 248
58.84, 123
69.03, 95
78.58, 80



# 4
# V3CoAs
Simulated X-ray diffraction stick pattern, Cu Kα. Input: a cell relaxed with GGA-PBE.

Crystal structure
```
V3CoAs
1.0
4.3007 0.0000 0.0000
0.0000 4.3007 0.0000
0.0000 0.0000 4.3007
V Co As
3 1 1
Direct
0.0000 0.0000 0.5000
0.0000 0.5000 0.0000
0.5000 0.0000 0.0000
0.0000 0.0000 0.0000
0.5000 0.5000 0.5000
```

Principal peaks in the range 2θ = 10–80°, low angle first:
Position (°2θ), Rel. int.
29.37, 516
36.18, 676
42.02, 1000
52.09, 207
60.93, 613
72.96, 228



# 5
# ZrPtSe2
Simulated X-ray diffraction stick pattern, Cu Kα. Input: a cell relaxed with GGA-PBE.

Crystal structure
```
ZrPtSe2
1.0
3.6712 0.0000 0.0000
0.0000 3.7671 0.0000
0.0000 0.0000 11.8726
Zr Pt Se
2 2 4
Direct
0.0000 0.0000 0.0000
0.0000 0.5000 0.5000
0.5000 0.0000 0.8239
0.5000 0.5000 0.3239
0.0000 0.0000 0.3249
0.0000 0.5000 0.8249
0.5000 0.0000 0.5952
0.5000 0.5000 0.0952
```

Principal peaks in the range 2θ = 10–80°, low angle first:
Position (°2θ), Rel. int.
14.92, 505
24.80, 384
30.11, 445
34.95, 1000
39.02, 261
41.22, 894



# 6
# K3RbAu2
Simulated X-ray diffraction stick pattern, Cu Kα. Input: a cell relaxed with GGA-PBE.

Crystal structure
```
K3RbAu2
1.0
8.4280 0.0000 0.0000
-4.2140 7.2988 0.0000
0.0000 0.0000 4.6899
K Rb Au
3 1 2
Direct
0.0000 0.5000 0.0000
0.5000 0.0000 0.0000
0.5000 0.5000 0.0000
0.0000 0.0000 0.5000
0.3333 0.6667 0.5000
0.6667 0.3333 0.5000
```

Principal peaks in the range 2θ = 10–80°, low angle first:
Position (°2θ), Rel. int.
12.13, 294
21.08, 724
28.48, 1000
41.83, 356
44.20, 220
61.48, 227



# 7
# Ac2Pm5Sn4
Simulated X-ray diffraction stick pattern, Cu Kα. Input: a cell relaxed with GGA-PBE.

Crystal structure
```
Ac2Pm5Sn4
1.0
6.0007 -3.6009 0.0000
6.0007 3.6009 0.0000
-3.9614 0.0000 8.4346
Ac Pm Sn
2 5 4
Direct
0.0933 0.0933 0.2838
0.9067 0.9067 0.7162
0.0988 0.5947 0.3076
0.4053 0.9012 0.6924
0.5000 0.5000 0.0000
0.5947 0.0988 0.3076
0.9012 0.4053 0.6924
0.2021 0.2021 0.9996
0.3788 0.3788 0.6288
0.6212 0.6212 0.3712
0.7979 0.7979 0.0004
```

Principal peaks in the range 2θ = 10–80°, low angle first:
Position (°2θ), Rel. int.
29.15, 794
29.97, 750
31.83, 760
32.29, 936
33.98, 1000
52.32, 401



# 8
# Nd4BiAs3
Simulated X-ray diffraction stick pattern, Cu Kα. Input: a cell relaxed with GGA-PBE.

Crystal structure
```
Nd4BiAs3
1.0
4.3133 0.0000 0.0000
-2.1566 3.7354 0.0000
0.0000 0.0000 29.1397
Nd Bi As
8 2 6
Direct
0.0000 0.0000 0.1758
0.0000 0.0000 0.3242
0.0000 0.0000 0.6758
0.0000 0.0000 0.8242
0.3333 0.6667 0.0586
0.3333 0.6667 0.4414
0.6667 0.3333 0.5586
0.6667 0.3333 0.9414
0.3333 0.6667 0.2500
0.6667 0.3333 0.7500
0.0000 0.0000 0.0000
0.0000 0.0000 0.5000
0.3333 0.6667 0.6195
0.3333 0.6667 0.8805
0.6667 0.3333 0.1195
0.6667 0.3333 0.3805
```

Principal peaks in the range 2θ = 10–80°, low angle first:
Position (°2θ), Rel. int.
28.38, 916
30.18, 974
41.86, 1000
52.49, 208
69.30, 212
76.48, 228